Calculated XRD peak list of KVO2 for copper Kα, from the PBE+U geometry in Alexandria.
Lines closer than 0.1° are merged.

Principal peaks in the range 2θ = 10–90°, sorted by position:
2θ (°)  Rel. int.
18.90  14
30.62  30
31.33  100
43.79  9
43.93  9
54.89  32
56.22  21
75.81  6

Crystal structure
```
data_KVO2
_symmetry_space_group_name_H-M 'F d d 2'
_symmetry_Int_Tables_number 43
_symmetry_space_group_name_Hall 'F 2 -2d'
_cell_length_a 8.2451
_cell_length_b 8.2691
_cell_length_c 7.9032
_cell_angle_alpha 90.00
_cell_angle_beta 90.00
_cell_angle_gamma 90.00
loop_
_atom_site_label
_atom_site_fract_x
_atom_site_fract_y
_atom_site_fract_z
_atom_site_occupancy
K1 0.0000 0.0000 0.0000 1
V1 0.0000 0.0000 0.4986 1
O1 0.0564 0.1937 0.6230 1
```